For Li2Cd12Ag, a GGA-PBE-relaxed structure gives the computed powder diffraction line list in this record (Cu Kα (λ = 1.5418 Å)).

Most intense lines, 15° ≤ 2θ ≤ 90°, low angle first:
two_theta	d (Å)	I (rel.)	(hkl)
23.09	3.852	92.9	1 1 2
31.73	2.820	56.5	2 0 2
35.08	2.558	32.1	2 0 4
36.64	2.453	24.7	2 1 3
36.95	2.433	31.5	1 1 7
37.42	2.403	34.9	2 0 5
38.46	2.341	59.1	0 0 9
40.12	2.247	100.0	2 0 6
40.60	2.222	26.0	1 1 8
43.74	2.070	55.9	2 2 0
59.66	1.550	23.6	2 2 9
75.08	1.265	24.3	2 0 15

```
data_Li2Cd12Ag
_cell_length_a 5.854
_cell_length_b 5.854
_cell_length_c 21.047
_cell_angle_alpha 90.00
_cell_angle_beta 90.00
_cell_angle_gamma 90.00
_symmetry_space_group_name_H-M 'P 4/n b m'
_symmetry_Int_Tables_number 125
loop_
_symmetry_equiv_pos_as_xyz
'x,y,z'
'-x,-y,-z'
'-y+1/2,x,z'
'y+1/2,-x,-z'
'-x+1/2,-y+1/2,z'
'x+1/2,y+1/2,-z'
'y,-x+1/2,z'
'-y,x+1/2,-z'
'x,-y+1/2,-z'
'-x,y+1/2,z'
'-y+1/2,-x+1/2,-z'
'y+1/2,x+1/2,z'
'-x+1/2,y,-z'
'x+1/2,-y,z'
'y,x,-z'
'-y,-x,z'
loop_
_atom_site_label
_atom_site_type_symbol
_atom_site_fract_x
_atom_site_fract_y
_atom_site_fract_z
Li1 Li 0.250 0.750 0.244
Cd1 Cd 0.000 0.000 0.403
Cd2 Cd 0.073 0.573 0.066
Cd3 Cd 0.250 0.250 0.168
Cd4 Cd 0.250 0.250 0.298
Ag1 Ag 0.250 0.750 0.500
```

***

For LiCd2Ag3, a GGA-PBE-relaxed structure gives the computed powder diffraction line list in this record (Cu Kα (λ = 1.5418 Å)).

Most intense lines, 15° ≤ 2θ ≤ 90°, low angle first:
two_theta	d (Å)	I (rel.)	(hkl)
24.13	3.689	4.6	1 1 1
27.46	3.248	3.9	1 3 0
30.38	2.942	13.1	1 3 1
37.94	2.372	100.0	1 3 2
39.22	2.297	47.0	2 0 0
52.74	1.736	8.2	0 0 4
56.44	1.630	4.8	2 0 3
56.67	1.624	15.0	2 6 0
67.66	1.385	14.8	2 0 4
70.18	1.341	14.2	1 9 2
70.30	1.339	15.2	3 3 2
81.09	1.186	8.8	2 6 4

```
data_LiCd2Ag3
_cell_length_a 4.589
_cell_length_b 13.796
_cell_length_c 6.942
_cell_angle_alpha 90.00
_cell_angle_beta 90.00
_cell_angle_gamma 90.00
_symmetry_space_group_name_H-M 'C m m m'
_symmetry_Int_Tables_number 65
_symmetry_space_group_name_Hall '-C 2 2'
loop_
_atom_site_label
_atom_site_type_symbol
_atom_site_fract_x
_atom_site_fract_y
_atom_site_fract_z
Li1 Li 0.000 0.160 0.000
Cd1 Cd 0.000 0.168 0.500
Cd2 Cd 0.000 0.500 0.000
Cd3 Cd 0.000 0.500 0.500
Ag1 Ag 0.000 0.000 0.244
Ag2 Ag 0.000 0.326 0.225
```

***

For Li4Cd2Ag5, a GGA-PBE-relaxed structure gives the computed powder diffraction line list in this record (Cu Kα (λ = 1.5418 Å)).

Most intense lines, 15° ≤ 2θ ≤ 90°, low angle first:
two_theta	d (Å)	I (rel.)	(hkl)
15.47	5.728	43.4	2 0 1
17.87	4.963	19.3	4 0 0
21.19	4.194	39.4	4 0 -1
22.18	4.007	24.1	4 0 1
26.56	3.356	24.3	2 0 2
32.10	2.788	26.9	1 1 0
34.61	2.592	64.3	3 1 0
37.70	2.386	100.0	6 0 2
37.84	2.378	54.0	2 0 -3
40.89	2.207	46.9	5 1 -1
43.29	2.090	38.7	3 1 2
78.95	1.213	21.4	6 2 2

```
data_Li4Cd2Ag5
_cell_length_a 19.877
_cell_length_b 2.816
_cell_length_c 7.268
_cell_angle_alpha 90.00
_cell_angle_beta 92.80
_cell_angle_gamma 90.00
_symmetry_space_group_name_H-M 'C 1 2/m 1'
_symmetry_Int_Tables_number 12
loop_
_symmetry_equiv_pos_as_xyz
'x,y,z'
'-x,-y,-z'
'-x,y,-z'
'x,-y,z'
'x+1/2,y+1/2,z'
'-x+1/2,-y+1/2,-z'
'-x+1/2,y+1/2,-z'
'x+1/2,-y+1/2,z'
loop_
_atom_site_label
_atom_site_type_symbol
_atom_site_fract_x
_atom_site_fract_y
_atom_site_fract_z
Li1 Li 0.056 0.000 0.335
Li2 Li 0.220 0.500 0.804
Cd1 Cd 0.083 0.000 0.725
Ag1 Ag 0.000 0.500 0.000
Ag2 Ag 0.148 0.000 0.081
Ag3 Ag 0.187 0.000 0.463
```

***

For LiCd4Ag7, a GGA-PBE-relaxed structure gives the computed powder diffraction line list in this record (Cu Kα (λ = 1.5418 Å)).

Most intense lines, 15° ≤ 2θ ≤ 90°, low angle first:
two_theta	d (Å)	I (rel.)	(hkl)
17.06	5.198	11.4	2 0 -1
20.39	4.356	26.4	1 1 -1
36.01	2.494	61.9	4 0 -3
36.19	2.482	65.4	0 2 0
39.34	2.290	100.0	1 1 -4
39.55	2.279	94.8	3 1 1
51.98	1.759	41.4	4 2 -3
61.77	1.502	11.8	2 0 5
66.82	1.400	17.3	5 1 -7
67.23	1.393	34.5	1 3 -4
67.34	1.391	18.3	3 3 1
73.74	1.285	13.9	2 2 5

```
data_LiCd4Ag7
_cell_length_a 10.397
_cell_length_b 4.965
_cell_length_c 10.640
_cell_angle_alpha 90.00
_cell_angle_beta 118.32
_cell_angle_gamma 90.00
_symmetry_space_group_name_H-M 'C 1 2/m 1'
_symmetry_Int_Tables_number 12
loop_
_symmetry_equiv_pos_as_xyz
'x,y,z'
'-x,-y,-z'
'-x,y,-z'
'x,-y,z'
'x+1/2,y+1/2,z'
'-x+1/2,-y+1/2,-z'
'-x+1/2,y+1/2,-z'
'x+1/2,-y+1/2,z'
loop_
_atom_site_label
_atom_site_type_symbol
_atom_site_fract_x
_atom_site_fract_y
_atom_site_fract_z
Li1 Li 0.000 0.000 0.000
Cd1 Cd 0.099 0.500 0.775
Cd2 Cd 0.226 0.500 0.306
Ag1 Ag 0.000 0.500 0.000
Ag2 Ag 0.040 0.000 0.374
Ag3 Ag 0.150 0.500 0.530
Ag4 Ag 0.205 0.000 0.921
```

***

For LiCd12Ag7, a GGA-PBE-relaxed structure gives the computed powder diffraction line list in this record (Cu Kα (λ = 1.5418 Å)).

Most intense lines, 15° ≤ 2θ ≤ 90°, low angle first:
two_theta	d (Å)	I (rel.)	(hkl)
24.48	3.637	14.1	3 0 0
33.13	2.704	43.3	1 1 3
34.36	2.610	7.7	4 0 1
35.78	2.510	9.5	3 1 2
37.79	2.381	100.0	4 1 0
38.96	2.312	55.5	0 3 3
41.62	2.170	36.6	2 2 3
48.87	1.864	10.4	5 -1 3
61.45	1.509	19.6	7 -2 3
68.23	1.375	9.6	3 6 0
72.65	1.301	11.3	8 -7 3
74.93	1.267	20.3	4 1 6

```
data_LiCd12Ag7
_cell_length_a 12.5983
_cell_length_b 12.5983
_cell_length_c 8.9830
_cell_angle_alpha 90.00
_cell_angle_beta 90.00
_cell_angle_gamma 120.00
_symmetry_space_group_name_H-M 'R -3'
_symmetry_Int_Tables_number 148
_symmetry_space_group_name_Hall '-R 3'
loop_
_atom_site_label
_atom_site_type_symbol
_atom_site_fract_x
_atom_site_fract_y
_atom_site_fract_z
Li1 Li 0.0000 0.0000 0.0000
Cd1 Cd 0.0494 0.8448 0.2426
Cd2 Cd 0.0527 0.8064 0.5834
Ag1 Ag 0.0000 0.0000 0.5000
Ag2 Ag 0.0631 0.8233 0.9214
```

***

For LiCd2Ag4, a GGA-PBE-relaxed structure gives the computed powder diffraction line list in this record (Cu Kα (λ = 1.5418 Å)).

Most intense lines, 15° ≤ 2θ ≤ 90°, low angle first:
two_theta	d (Å)	I (rel.)	(hkl)
36.76	2.445	100.0	1 1 2
37.12	2.422	95.6	1 -2 0
37.35	2.408	93.8	0 1 -4
37.49	2.399	92.9	2 0 -2
42.46	2.129	65.7	-1 1 4
43.15	2.096	62.5	1 2 -2
43.98	2.059	59.8	2 -1 2
61.49	1.508	20.8	0 3 2
62.79	1.480	19.3	2 1 -6
63.14	1.472	37.4	-3 2 2
74.88	1.268	22.4	0 4 -2
75.62	1.257	21.7	3 2 -4

```
data_LiCd2Ag4
_cell_length_a 5.062
_cell_length_b 5.152
_cell_length_c 10.310
_cell_angle_alpha 98.00
_cell_angle_beta 100.21
_cell_angle_gamma 99.10
_symmetry_space_group_name_H-M 'P 1'
_symmetry_Int_Tables_number 1
loop_
_symmetry_equiv_pos_as_xyz
'x,y,z'
loop_
_atom_site_label
_atom_site_type_symbol
_atom_site_fract_x
_atom_site_fract_y
_atom_site_fract_z
Li1 Li 0.000 0.000 0.000
Li2 Li 0.417 0.722 0.427
Cd1 Cd 0.281 0.150 0.787
Cd2 Cd 0.575 0.298 0.073
Cd3 Cd 0.577 0.303 0.569
Cd4 Cd 0.720 0.872 0.220
Ag1 Ag 0.002 0.008 0.499
Ag2 Ag 0.145 0.583 0.144
Ag3 Ag 0.148 0.585 0.643
Ag4 Ag 0.288 0.154 0.287
Ag5 Ag 0.433 0.731 0.931
Ag6 Ag 0.716 0.866 0.715
Ag7 Ag 0.864 0.440 0.862
Ag8 Ag 0.868 0.448 0.362
```

***

For LiCdAg2, a GGA-PBE-relaxed structure gives the computed powder diffraction line list in this record (Cu Kα (λ = 1.5418 Å)).

Most intense lines, 15° ≤ 2θ ≤ 90°, low angle first:
two_theta	d (Å)	I (rel.)	(hkl)
18.69	4.748	15.8	0 0 6
28.19	3.165	20.9	0 0 9
34.96	2.567	14.2	1 0 1
37.10	2.423	100.0	1 0 4
37.90	2.374	27.5	0 0 12
38.33	2.348	18.3	0 1 5
43.34	2.088	60.6	0 1 8
55.01	1.669	12.5	1 0 13
62.41	1.488	20.7	1 1 0
63.51	1.465	15.0	1 0 16
74.89	1.268	11.7	0 2 4
75.39	1.261	20.2	1 1 12

```
data_LiCdAg2
_cell_length_a 2.9758
_cell_length_b 2.9758
_cell_length_c 28.4867
_cell_angle_alpha 90.00
_cell_angle_beta 90.00
_cell_angle_gamma 120.00
_symmetry_space_group_name_H-M 'R -3 m'
_symmetry_Int_Tables_number 166
_symmetry_space_group_name_Hall '-R 3 2"'
loop_
_atom_site_label
_atom_site_type_symbol
_atom_site_fract_x
_atom_site_fract_y
_atom_site_fract_z
Li1 Li 0.0000 0.0000 0.0000
Cd1 Cd 0.0000 0.0000 0.5000
Ag1 Ag 0.0000 0.0000 0.2562
```

***

For Li3Cd6Ag2, a GGA-PBE-relaxed structure gives the computed powder diffraction line list in this record (Cu Kα (λ = 1.5418 Å)).

Most intense lines, 15° ≤ 2θ ≤ 90°, low angle first:
two_theta	d (Å)	I (rel.)	(hkl)
15.58	5.687	38.4	0 1 -1
18.71	4.743	17.5	1 -1 0
25.26	3.526	16.6	1 1 -1
25.58	3.482	40.1	1 -1 1
37.31	2.410	58.1	1 2 -2
37.76	2.383	100.0	1 -2 2
37.93	2.372	46.2	0 2 1
38.22	2.355	24.9	-2 2 1
38.66	2.329	41.5	1 0 -3
39.62	2.275	37.3	1 -3 0
40.55	2.224	37.7	2 0 0
58.37	1.581	14.9	3 -3 0

```
data_Li3Cd6Ag2
_cell_length_a 5.297
_cell_length_b 7.073
_cell_length_c 7.243
_cell_angle_alpha 105.26
_cell_angle_beta 110.16
_cell_angle_gamma 108.29
_symmetry_space_group_name_H-M 'P -1'
_symmetry_Int_Tables_number 2
loop_
_symmetry_equiv_pos_as_xyz
'x,y,z'
'-x,-y,-z'
loop_
_atom_site_label
_atom_site_type_symbol
_atom_site_fract_x
_atom_site_fract_y
_atom_site_fract_z
Li1 Li 0.000 0.000 0.000
Li2 Li 0.247 0.465 0.326
Cd1 Cd 0.236 0.392 0.773
Cd2 Cd 0.256 0.081 0.436
Cd3 Cd 0.315 0.825 0.744
Ag1 Ag 0.247 0.726 0.102
```

***

Which formula does entry 3 have?
Li4Cd2Ag5

***

Copy entry 3 word for word.
For Li4Cd2Ag5, a GGA-PBE-relaxed structure gives the computed powder diffraction line list in this record (Cu Kα (λ = 1.5418 Å)).

Most intense lines, 15° ≤ 2θ ≤ 90°, low angle first:
two_theta	d (Å)	I (rel.)	(hkl)
15.47	5.728	43.4	2 0 1
17.87	4.963	19.3	4 0 0
21.19	4.194	39.4	4 0 -1
22.18	4.007	24.1	4 0 1
26.56	3.356	24.3	2 0 2
32.10	2.788	26.9	1 1 0
34.61	2.592	64.3	3 1 0
37.70	2.386	100.0	6 0 2
37.84	2.378	54.0	2 0 -3
40.89	2.207	46.9	5 1 -1
43.29	2.090	38.7	3 1 2
78.95	1.213	21.4	6 2 2

```
data_Li4Cd2Ag5
_cell_length_a 19.877
_cell_length_b 2.816
_cell_length_c 7.268
_cell_angle_alpha 90.00
_cell_angle_beta 92.80
_cell_angle_gamma 90.00
_symmetry_space_group_name_H-M 'C 1 2/m 1'
_symmetry_Int_Tables_number 12
loop_
_symmetry_equiv_pos_as_xyz
'x,y,z'
'-x,-y,-z'
'-x,y,-z'
'x,-y,z'
'x+1/2,y+1/2,z'
'-x+1/2,-y+1/2,-z'
'-x+1/2,y+1/2,-z'
'x+1/2,-y+1/2,z'
loop_
_atom_site_label
_atom_site_type_symbol
_atom_site_fract_x
_atom_site_fract_y
_atom_site_fract_z
Li1 Li 0.056 0.000 0.335
Li2 Li 0.220 0.500 0.804
Cd1 Cd 0.083 0.000 0.725
Ag1 Ag 0.000 0.500 0.000
Ag2 Ag 0.148 0.000 0.081
Ag3 Ag 0.187 0.000 0.463
```